No. 1
Calculated X-ray diffraction stick pattern
Compound: Dy4Er3Sc
Radiation: Cu Kα, 1.54184 Å
Structure: a DFT-relaxed cell (GGA-PBE, Alexandria)
Neutral-atom scattering factors, no anomalous dispersion.

Most intense lines, 2θ = 10–90°, sorted by position:
| d (Å) | Position (°2θ) | intensity | hkl |
| --- | --- | --- | --- |
| 3.093 | 28.86 | 25 | 0 0 2 |
| 2.768 | 32.35 | 24 | 4 0 0 |
| 2.700 | 33.18 | 100 | 2 2 1 |
| 2.063 | 43.90 | 16 | 4 0 2 |
| 1.786 | 51.15 | 20 | 0 4 0 |
| 1.585 | 58.22 | 20 | 6 2 1 |
| 1.501 | 61.83 | 22 | 4 4 0 |
| 1.490 | 62.33 | 16 | 2 0 4 |

Structure:
a b c (Å): 11.0700 7.1490 6.1821
angles (deg): 90.00 90.00 90.00
Space group Pmn2_1 (No. 31)
Symmetry-distinct sites (fractional):
Dy  0.0000  0.1273  0.0000 x2
Dy  0.0000  0.8725  0.5063 x2
Dy  0.2462  0.1280  0.3389 x4
Er  0.0000  0.6227  0.0027 x2
Er  0.2494  0.6221  0.3342 x4
Sc  0.0000  0.3774  0.5026 x2


No. 2
Calculated X-ray diffraction stick pattern
Compound: DyEr5Sc5
Radiation: Cu Kα, 1.54184 Å
Structure: a DFT-relaxed cell (GGA-PBE, Alexandria)
Neutral-atom scattering factors, no anomalous dispersion.

Most intense lines, 2θ = 10–90°, sorted by position:
| d (Å) | Position (°2θ) | intensity | hkl |
| --- | --- | --- | --- |
| 2.988 | 29.90 | 100 | 1 0 3 |
| 2.880 | 31.06 | 87 | 1 1 0 |
| 2.789 | 32.09 | 23 | 1 1 1 |
| 2.279 | 39.54 | 17 | 1 1 3 |
| 2.074 | 43.65 | 25 | 2 0 3 |
| 1.683 | 54.54 | 37 | 2 1 3 |
| 1.663 | 55.25 | 17 | 3 0 0 |
| 1.565 | 59.01 | 26 | 1 1 6 |

Structure:
a b c (Å): 5.7595 5.7595 11.1952
angles (deg): 90.00 90.00 120.00
Space group P-6m2 (No. 187)
Symmetry-distinct sites (fractional):
Dy  0.0000  0.0000  0.0000 x1
Er  0.0000  0.0000  0.3198 x2
Er  0.3333  0.6667  0.1606 x2
Er  0.6667  0.3333  0.0000 x1
Sc  0.5018  0.0035  0.5000 x3
Sc  0.6667  0.3333  0.2686 x2


No. 3
Calculated X-ray diffraction stick pattern
Compound: Dy2Er3Sc3
Radiation: Cu Kα, 1.54184 Å
Structure: a DFT-relaxed cell (GGA-PBE, Alexandria)
Neutral-atom scattering factors, no anomalous dispersion.

Most intense lines, 2θ = 10–90°, sorted by position:
| d (Å) | Position (°2θ) | intensity | hkl |
| --- | --- | --- | --- |
| 4.659 | 19.05 | 17 | 1 0 1 |
| 2.796 | 32.01 | 100 | 1 1 4 |
| 2.440 | 36.83 | 17 | 0 2 0 |
| 2.424 | 37.09 | 17 | 0 0 8 |
| 2.400 | 37.47 | 19 | 2 0 0 |
| 1.468 | 63.34 | 14 | 1 3 4 |
| 1.461 | 63.68 | 13 | 1 1 12 |
| 1.451 | 64.20 | 13 | 3 1 4 |

Structure:
a b c (Å): 4.8000 4.8802 19.3921
angles (deg): 90.00 90.00 90.00
Space group Immm (No. 71)
Symmetry-distinct sites (fractional):
Dy  0.0000  0.0000  0.2491 x4
Er  0.0000  0.0000  0.0000 x2
Er  0.0000  0.5000  0.1217 x4
Sc  0.0000  0.0000  0.5000 x2
Sc  0.0000  0.5000  0.3769 x4


No. 4
Calculated X-ray diffraction stick pattern
Compound: Dy5Er4Sc
Radiation: Cu Kα, 1.54184 Å
Structure: a DFT-relaxed cell (GGA-PBE, Alexandria)
Neutral-atom scattering factors, no anomalous dispersion.

Most intense lines, 2θ = 10–90°, sorted by position:
| d (Å) | Position (°2θ) | intensity | hkl |
| --- | --- | --- | --- |
| 2.932 | 30.49 | 55 | 3 1 -1 |
| 2.901 | 30.83 | 70 | 1 1 -2 |
| 2.855 | 31.34 | 100 | 4 0 2 |
| 2.802 | 31.94 | 90 | 6 0 -2 |
| 2.696 | 33.23 | 79 | 2 0 -4 |
| 2.390 | 37.64 | 51 | 5 1 0 |
| 1.595 | 57.83 | 29 | 2 0 6 |
| 1.474 | 63.09 | 28 | 4 2 2 |

Structure:
a b c (Å): 17.3548 3.4410 10.7883
angles (deg): 90.00 106.90 90.00
Space group C2/m (No. 12)
Symmetry-distinct sites (fractional):
Dy  0.0000  0.0000  0.0000 x2
Dy  0.1055  0.5000  0.7854 x4
Dy  0.2068  0.5000  0.0996 x4
Er  0.0926  0.5000  0.3104 x4
Er  0.1962  0.0000  0.5817 x4
Sc  0.0000  0.0000  0.5000 x2


No. 5
Calculated X-ray diffraction stick pattern
Compound: DyEr6Sc2
Radiation: Cu Kα, 1.54184 Å
Structure: a DFT-relaxed cell (GGA-PBE, Alexandria)
Neutral-atom scattering factors, no anomalous dispersion.

Most intense lines, 2θ = 10–90°, sorted by position:
| d (Å) | Position (°2θ) | intensity | hkl |
| --- | --- | --- | --- |
| 2.932 | 30.49 | 91 | 3 1 0 |
| 2.846 | 31.44 | 100 | 1 3 1 |
| 2.821 | 31.72 | 86 | 0 6 0 |
| 2.638 | 33.98 | 86 | 2 2 1 |
| 2.322 | 38.79 | 54 | 2 4 1 |
| 2.235 | 40.35 | 42 | 3 5 0 |
| 2.114 | 42.78 | 52 | 3 3 1 |
| 1.535 | 60.29 | 47 | 5 3 1 |

Structure:
a b c (Å): 8.9307 16.9273 3.5458
angles (deg): 90.00 90.00 90.00
Space group Cmmm (No. 65)
Symmetry-distinct sites (fractional):
Dy  0.0000  0.0000  0.0000 x2
Er  0.1800  0.5000  0.5000 x4
Er  0.1852  0.3365  0.0000 x8
Sc  0.0000  0.1881  0.5000 x4


No. 6
Calculated X-ray diffraction stick pattern
Compound: DyEr7Sc2
Radiation: Cu Kα, 1.54184 Å
Structure: a DFT-relaxed cell (GGA-PBE, Alexandria)
Neutral-atom scattering factors, no anomalous dispersion.

Most intense lines, 2θ = 10–90°, sorted by position:
| d (Å) | Position (°2θ) | intensity | hkl |
| --- | --- | --- | --- |
| 2.837 | 31.54 | 100 | 3 1 -2 |
| 2.772 | 32.29 | 95 | 5 1 0 |
| 2.638 | 33.99 | 72 | 0 2 0 |
| 2.619 | 34.23 | 27 | 6 0 -2 |
| 1.865 | 48.84 | 20 | 2 2 2 |
| 1.859 | 49.00 | 19 | 6 2 -2 |
| 1.559 | 59.26 | 17 | 3 3 -2 |
| 1.548 | 59.73 | 16 | 5 3 0 |

Structure:
a b c (Å): 17.6421 5.2789 6.8766
angles (deg): 90.00 112.60 90.00
Space group C2/m (No. 12)
Symmetry-distinct sites (fractional):
Dy  0.0000  0.0000  0.0000 x2
Er  0.0000  0.0000  0.5000 x2
Er  0.1124  0.5000  0.8617 x4
Er  0.1126  0.5000  0.3646 x4
Er  0.2023  0.0000  0.2028 x4
Sc  0.1993  0.0000  0.6999 x4


No. 7
Calculated X-ray diffraction stick pattern
Compound: Sm2DyEr5Sc
Radiation: Cu Kα, 1.54184 Å
Structure: a DFT-relaxed cell (GGA-PBE, Alexandria)
Neutral-atom scattering factors, no anomalous dispersion.

Most intense lines, 2θ = 10–90°, sorted by position:
| d (Å) | Position (°2θ) | intensity | hkl |
| --- | --- | --- | --- |
| 3.056 | 29.23 | 68 | 2 1 3 |
| 3.002 | 29.76 | 51 | 2 2 0 |
| 2.856 | 31.32 | 100 | 2 0 4 |
| 2.685 | 33.37 | 29 | 3 1 0 |
| 2.328 | 38.68 | 20 | 3 2 1 |
| 2.203 | 40.97 | 18 | 2 0 6 |
| 1.912 | 47.56 | 16 | 4 1 3 |
| 1.704 | 53.81 | 19 | 4 2 4 |

Structure:
a b c (Å): 8.4909 8.4909 15.4400
angles (deg): 90.00 90.00 90.00
Space group I4/mcm (No. 140)
Symmetry-distinct sites (fractional):
Sm  0.1190  0.3810  0.0000 x8
Dy  0.0000  0.0000  0.2500 x4
Er  0.0000  0.0000  0.0000 x4
Er  0.2080  0.2920  0.3583 x16
Sc  0.0000  0.5000  0.2500 x4


No. 8
Calculated X-ray diffraction stick pattern
Compound: Sm4DyEr2Sc
Radiation: Cu Kα, 1.54184 Å
Structure: a DFT-relaxed cell (GGA-PBE, Alexandria)
Neutral-atom scattering factors, no anomalous dispersion.

Most intense lines, 2θ = 10–90°, sorted by position:
| d (Å) | Position (°2θ) | intensity | hkl |
| --- | --- | --- | --- |
| 2.889 | 30.95 | 100 | 1 1 2 |
| 2.519 | 35.64 | 34 | 2 0 0 |
| 2.470 | 36.37 | 16 | 0 0 4 |
| 1.781 | 51.30 | 12 | 2 2 0 |
| 1.764 | 51.84 | 23 | 2 0 4 |
| 1.517 | 61.07 | 14 | 1 3 2 |
| 1.515 | 61.18 | 14 | 3 1 2 |
| 1.495 | 62.09 | 14 | 1 1 6 |

Structure:
a b c (Å): 5.0321 5.0431 9.8818
angles (deg): 90.00 90.00 90.00
Space group Pmmm (No. 47)
Symmetry-distinct sites (fractional):
Sm  0.0000  0.0000  0.2448 x2
Sm  0.5000  0.5000  0.2450 x2
Dy  0.0000  0.5000  0.5000 x1
Er  0.0000  0.5000  0.0000 x1
Er  0.5000  0.0000  0.5000 x1
Sc  0.5000  0.0000  0.0000 x1